Starting from a structure optimized by DFT (GGA+U), the X-ray powder pattern of CsVP3HO10 was calculated for Cu Ka.
Peak positions follow from Bragg's law for the DFT cell and can differ from measured ones.

Cell and atoms:
Lattice parameters (Å, degrees): 12.3323 8.8386 9.2441 90.00 110.99 90.00
Space group C2/c (No. 15)
Unique sites:
Cs  0.0000  0.0605  0.2500 x4
V  0.2500  0.2500  0.0000 x4
P  0.0000  0.3763  0.7500 x4
P  0.2069  0.4384  0.2993 x8
H  0.2500  0.2500  0.5000 x4
O  0.0715  0.2872  0.8912 x8
O  0.0821  0.4868  0.6967 x8
O  0.1772  0.3147  0.3952 x8
O  0.2145  0.0635  0.1019 x8
O  0.2422  0.1215  0.8167 x8

Most intense lines, 2θ from 10° to 80°, in order of falling intensity:
2θ (°), d [Å], intensity
25.27, 3.525, 1000
20.84, 4.263, 818
28.92, 3.087, 738
29.52, 3.026, 705
20.58, 4.315, 649
26.91, 3.313, 597
31.07, 2.878, 454
44.25, 2.047, 343
32.14, 2.785, 265
17.96, 4.940, 245
26.51, 3.362, 245
25.41, 3.506, 207